Record 1
Structure and calculated X-ray diffraction stick pattern of Er3Tm4Pb2 (a DFT-relaxed cell (GGA-PBE, Alexandria); Cu Kα (λ = 1.5418 Å)).

Structural model:
```
9
Lattice="5.6702 -2.2934 0.0000 5.6702 2.2934 0.0000 -3.8225 0.0000 9.8638" Properties=species:S:1:pos:R:3 pbc="T T T"
Er 0.0000 0.0000 0.0000
Er 2.0275 0.0000 4.3725
Er 5.4903 0.0000 5.4913
Tm -2.4680 0.0000 6.6165
Tm 3.2789 0.0000 1.1031
Tm 4.2389 0.0000 8.7607
Tm 9.9858 0.0000 3.2473
Pb 0.9078 0.0000 7.7026
Pb 6.6100 0.0000 2.1612
```

The 6 most intense peaks (15 to 90 degrees two-theta), in order of rising 2θ:
d (Å), intensity
2.794, 100
2.561, 19
2.426, 17
2.293, 15
1.520, 15
1.462, 14

Record 2
Structure and calculated X-ray diffraction stick pattern of Er8Tm2Pb3 (a DFT-relaxed cell (GGA-PBE, Alexandria); Cu Kα (λ = 1.5418 Å)).

Structural model:
```
13
Lattice="3.1948 1.8445 11.6863 -3.1948 1.8445 11.6863 0.0000 -3.6890 11.6863" Properties=species:S:1:pos:R:3 pbc="T T T"
Er 0.0000 -1.8606 13.5597
Er -1.6113 0.9303 13.5597
Er 0.0000 0.0000 7.9484
Er -1.6113 -0.9303 21.4991
Er 1.6113 0.9303 13.5597
Er 0.0000 0.0000 27.1105
Er 1.6113 -0.9303 21.4991
Er 0.0000 1.8606 21.4991
Tm 0.0000 0.0000 4.7306
Tm 0.0000 0.0000 30.3283
Pb 0.0000 0.0000 10.9403
Pb 0.0000 0.0000 17.5294
Pb 0.0000 0.0000 24.1186
```

The 6 most intense peaks (15 to 90 degrees two-theta), in order of rising 2θ:
d (Å), intensity
3.195, 54
2.762, 100
2.733, 74
2.574, 59
1.749, 50
1.597, 41

Record 3
Structure and calculated X-ray diffraction stick pattern of Er2Tm4Pb (a DFT-relaxed cell (GGA-PBE, Alexandria); Cu Kα (λ = 1.5418 Å)).

Structural model:
```
7
Lattice="3.4222 0.0000 0.0000 0.0000 5.9926 0.0000 0.0000 0.0000 11.0081" Properties=species:S:1:pos:R:3 pbc="T T T"
Er 0.0000 0.0000 0.0000
Er 0.0000 2.9963 5.5040
Tm 1.0855 1.4906 2.7057
Tm 1.0855 4.5021 8.3024
Tm 2.3367 1.4906 8.3024
Tm 2.3367 4.5021 2.7057
Pb 1.7111 0.0000 5.5040
```

The 6 most intense peaks (15 to 90 degrees two-theta), in order of rising 2θ:
d (Å), intensity
2.869, 100
2.752, 49
2.632, 87
2.309, 55
1.769, 24
1.704, 22

Record 4
Structure and calculated X-ray diffraction stick pattern of ErZr2Pb (a DFT-relaxed cell (GGA-PBE, Alexandria); Cu Kα (λ = 1.5418 Å)).

Structural model:
```
8
Lattice="2.2028 -10.6917 0.0000 2.2028 10.6917 0.0000 0.0000 0.0000 4.4130" Properties=species:S:1:pos:R:3 pbc="T T T"
Er 2.2028 6.6531 3.3098
Er 2.2028 -6.6531 1.1033
Zr 2.2028 9.5366 1.1033
Zr 2.2028 1.1201 1.1033
Zr 2.2028 -1.1201 3.3098
Zr 2.2028 -9.5366 3.3098
Pb 2.2028 3.4972 3.3098
Pb 2.2028 -3.4972 1.1033
```

The 6 most intense peaks (15 to 90 degrees two-theta), in order of rising 2θ:
d (Å), intensity
3.085, 66
2.857, 35
2.673, 26
2.519, 100
2.205, 57
1.701, 27

Record 5
Structure and calculated X-ray diffraction stick pattern of Er6Pd5 (a DFT-relaxed cell (GGA-PBE, Alexandria); Cu Kα (λ = 1.5418 Å)).

Structural model:
```
11
Lattice="4.9099 0.0000 0.0000 0.0000 6.8928 0.0000 -2.4374 0.0000 7.3469" Properties=species:S:1:pos:R:3 pbc="T T T"
Er 0.0000 1.7208 0.0000
Er 0.0000 5.1720 0.0000
Er 0.0117 1.7163 4.9208
Er 0.0117 5.1765 4.9208
Er 2.4608 1.7163 2.4261
Er 2.4608 5.1765 2.4261
Pd 0.0053 0.0000 2.4432
Pd 0.0069 3.4464 2.5243
Pd 2.4550 3.4464 0.0000
Pd 2.4656 3.4464 4.8226
Pd 2.4672 0.0000 4.9037
```

The 6 most intense peaks (15 to 90 degrees two-theta), in order of rising 2θ:
d (Å), intensity
3.468, 11
2.452, 50
2.444, 100
1.415, 18
1.413, 18
1.410, 18

Record 6
Structure and calculated X-ray diffraction stick pattern of Er4Pd3 (a DFT-relaxed cell (GGA-PBE, Alexandria); Cu Kα (λ = 1.5418 Å)).

Structural model:
```
7
Lattice="2.4398 1.4086 7.9926 -2.4398 1.4086 7.9926 0.0000 -2.8173 7.9926" Properties=species:S:1:pos:R:3 pbc="T T T"
Er 0.0000 0.0000 2.9852
Er 0.0000 0.0000 8.9838
Er 0.0000 0.0000 14.9940
Er 0.0000 0.0000 20.9926
Pd 0.0000 0.0000 6.0148
Pd 0.0000 0.0000 11.9889
Pd 0.0000 0.0000 17.9630
```

The 6 most intense peaks (15 to 90 degrees two-theta), in order of rising 2θ:
d (Å), intensity
3.454, 14
2.442, 100
1.727, 17
1.412, 9
1.409, 27
1.093, 8

Record 7
Structure and calculated X-ray diffraction stick pattern of Er2Pd13 (a DFT-relaxed cell (GGA-PBE, Alexandria); Cu Kα (λ = 1.5418 Å)).

Structural model:
```
15
Lattice="3.6742 2.1213 6.6785 -3.6742 2.1213 6.6785 0.0000 -4.2426 6.6785" Properties=species:S:1:pos:R:3 pbc="T T T"
Er 0.0000 0.0000 4.8363
Er 0.0000 0.0000 15.1992
Pd 0.0000 0.0000 0.0000
Pd 0.0000 -2.6543 4.5395
Pd -2.2987 1.3271 4.5395
Pd 0.0000 -1.5712 7.2695
Pd -1.3607 0.7856 7.2695
Pd -2.2987 -1.3271 15.4959
Pd -1.3607 -0.7856 12.7660
Pd 1.3607 0.7856 7.2695
Pd 2.2987 1.3271 4.5396
Pd 1.3607 -0.7856 12.7659
Pd 0.0000 1.5712 12.7659
Pd 2.2987 -1.3271 15.4959
Pd 0.0000 2.6543 15.4959
```

The 6 most intense peaks (15 to 90 degrees two-theta), in order of rising 2θ:
d (Å), intensity
3.143, 31
2.388, 32
2.330, 52
2.168, 100
2.062, 34
2.022, 41

Record 8
Structure and calculated X-ray diffraction stick pattern of Er2Pd17 (a DFT-relaxed cell (GGA-PBE, Alexandria); Cu Kα (λ = 1.5418 Å)).

Structural model:
```
19
Lattice="4.5499 2.6269 4.5351 -4.5499 2.6269 4.5351 0.0000 -5.2538 4.5351" Properties=species:S:1:pos:R:3 pbc="T T T"
Er 0.0000 0.0000 2.4064
Er 0.0000 0.0000 11.1988
Pd -2.2750 -1.3134 4.5351
Pd 0.0000 -2.6727 4.3859
Pd -2.3146 1.3363 4.3859
Pd -1.4125 -2.4465 6.8026
Pd -2.8250 0.0000 6.8026
Pd -2.3146 -1.3363 9.2193
Pd 0.0000 0.0000 5.4333
Pd -2.2749 1.3134 9.0701
Pd 1.4125 -2.4465 6.8026
Pd 0.0000 2.6269 4.5351
Pd -1.4125 2.4465 6.8026
Pd 0.0000 0.0000 8.1719
Pd 2.3146 1.3363 4.3859
Pd 2.8250 0.0000 6.8026
Pd 1.4125 2.4465 6.8026
Pd 2.3146 -1.3363 9.2193
Pd 0.0000 2.6727 9.2193
```

The 6 most intense peaks (15 to 90 degrees two-theta), in order of rising 2θ:
d (Å), intensity
2.627, 24
2.274, 100
2.268, 22
2.239, 17
2.033, 41
1.137, 16

Record 9
Structure and calculated X-ray diffraction stick pattern of PmEr4Pd4 (a DFT-relaxed cell (GGA-PBE, Alexandria); Cu Kα (λ = 1.5418 Å)).

Structural model:
```
18
Lattice="9.0292 0.0000 0.0000 0.0000 9.0292 0.0000 0.0000 0.0000 5.7211" Properties=species:S:1:pos:R:3 pbc="T T T"
Pm 2.2573 2.2573 1.4303
Pm 6.7719 6.7719 4.2908
Er 0.7038 5.9021 0.9335
Er 1.3874 8.3255 3.7941
Er 3.1272 5.2184 3.7941
Er 3.8109 7.6418 0.9335
Er 5.2184 1.3874 4.7876
Er 5.9021 3.8109 1.9270
Er 7.6418 0.7038 1.9270
Er 8.3255 3.1272 4.7876
Pd 0.3491 5.6114 3.7830
Pd 1.0968 8.6801 0.9225
Pd 3.4178 4.8637 0.9225
Pd 4.1655 7.9324 3.7830
Pd 4.8637 1.0968 1.9381
Pd 5.6114 4.1655 4.7987
Pd 7.9324 0.3491 4.7987
Pd 8.6801 3.4178 1.9381
```

The 6 most intense peaks (15 to 90 degrees two-theta), in order of rising 2θ:
d (Å), intensity
3.299, 23
2.856, 100
2.727, 36
2.073, 21
2.020, 46
1.884, 18

Record 10
Structure and calculated X-ray diffraction stick pattern of Pm2ErPd3 (a DFT-relaxed cell (GGA-PBE, Alexandria); Cu Kα (λ = 1.5418 Å)).

Structural model:
```
12
Lattice="6.0847 -2.9791 0.0000 6.0847 2.9791 0.0000 -2.9758 0.0000 8.0230" Properties=species:S:1:pos:R:3 pbc="T T T"
Pm 1.8918 0.1180 0.6759
Pm 0.4039 -0.1180 4.6874
Pm 8.7897 0.1180 3.3356
Pm 7.3018 -0.1180 7.3471
Er 3.8528 0.7778 6.0173
Er 5.3407 -0.7778 2.0058
Pd 5.3407 2.2077 2.0058
Pd 3.1186 0.1498 3.3981
Pd 1.6307 -0.1498 7.4096
Pd 7.5628 0.1498 0.6134
Pd 6.0749 -0.1498 4.6249
Pd 3.8528 -2.2077 6.0173
```

The 6 most intense peaks (15 to 90 degrees two-theta), in order of rising 2θ:
d (Å), intensity
2.979, 45
2.848, 100
2.837, 93
2.638, 61
2.139, 46
2.059, 39

Record 11
Structure and calculated X-ray diffraction stick pattern of PmErPdRh (a DFT-relaxed cell (GGA-PBE, Alexandria); Cu Kα (λ = 1.5418 Å)).

Structural model:
```
4
Lattice="4.4751 0.0000 0.0000 0.0000 1.8705 5.3170 0.0000 -1.8705 5.3170" Properties=species:S:1:pos:R:3 pbc="T T T"
Pm 0.0000 0.0000 0.0000
Er 2.2376 0.0000 7.6727
Pd 2.2376 0.0000 4.6796
Rh 0.0000 0.0000 2.8283
```

The 6 most intense peaks (15 to 90 degrees two-theta), in order of rising 2θ:
d (Å), intensity
2.771, 100
2.658, 31
2.573, 22
2.286, 19
2.238, 31
2.231, 60

Record 12
Structure and calculated X-ray diffraction stick pattern of PmErSi2Pd2 (a DFT-relaxed cell (GGA-PBE, Alexandria); Cu Kα (λ = 1.5418 Å)).

Structural model:
```
6
Lattice="4.3399 0.0000 0.0000 -2.1700 3.7585 0.0000 0.0000 0.0000 7.3038" Properties=species:S:1:pos:R:3 pbc="T T T"
Pm 0.0000 0.0000 0.0000
Er 0.0000 0.0000 3.6519
Si 0.0000 2.5057 1.9537
Si 2.1700 1.2528 5.3502
Pd 0.0000 2.5057 5.2221
Pd 2.1700 1.2528 2.0818
```

The 6 most intense peaks (15 to 90 degrees two-theta), in order of rising 2θ:
d (Å), intensity
3.759, 19
2.619, 100
2.170, 51
1.671, 26
1.397, 18
1.324, 24